Record 1
Computed XRD peak list
Compound: RbPa2OsN5
Radiation: Cu Ka
Structure: a cell relaxed with PBE

Cell and atoms:
```
RbPa2OsN5
1.0
-3.388 3.388 5.800
3.388 -3.388 5.800
3.388 3.388 -5.800
Rb Pa Os N
2 4 2 10
direct
0.250 0.250 0.000
0.750 0.750 0.000
0.191 0.691 0.881
0.309 0.191 0.500
0.691 0.809 0.500
0.809 0.309 0.119
0.250 0.750 0.500
0.750 0.250 0.500
0.000 0.000 0.000
0.008 0.239 0.500
0.239 0.739 0.231
0.261 0.492 0.500
0.492 0.992 0.231
0.500 0.500 0.000
0.508 0.008 0.769
0.739 0.508 0.500
0.761 0.261 0.769
0.992 0.761 0.500
```

Most intense lines, 10 to 90 degrees two-theta, most intense first:
30.54 deg, rel. 100
30.83 deg, rel. 24
37.72 deg, rel. 24
37.54 deg, rel. 17
49.34 deg, rel. 16
56.57 deg, rel. 15
54.66 deg, rel. 15
61.29 deg, rel. 11
49.48 deg, rel. 11
18.52 deg, rel. 10
45.11 deg, rel. 10
15.28 deg, rel. 10

Record 2
Computed XRD peak list
Compound: CeTh2Se3
Radiation: Cu Ka
Structure: a cell relaxed with PBE

Cell and atoms:
```
CeTh2Se3
1.0
5.937 0.000 0.000
0.000 12.864 0.000
0.000 0.000 8.219
Ce Th Se
4 8 12
direct
0.250 0.084 0.125
0.250 0.416 0.625
0.750 0.584 0.375
0.750 0.916 0.875
0.250 0.083 0.625
0.250 0.417 0.125
0.251 0.749 0.125
0.251 0.751 0.625
0.749 0.249 0.375
0.749 0.251 0.875
0.750 0.583 0.875
0.750 0.917 0.375
0.249 0.250 0.375
0.249 0.250 0.875
0.250 0.582 0.376
0.250 0.583 0.873
0.250 0.917 0.373
0.250 0.918 0.876
0.750 0.082 0.124
0.750 0.083 0.627
0.750 0.417 0.127
0.750 0.418 0.624
0.751 0.750 0.125
0.751 0.750 0.625
```

Most intense lines, 10 to 90 degrees two-theta, most intense first:
30.11 deg, rel. 100
43.11 deg, rel. 50
71.02 deg, rel. 23
25.63 deg, rel. 17
26.38 deg, rel. 16
52.66 deg, rel. 14
42.15 deg, rel. 13
54.30 deg, rel. 13
62.61 deg, rel. 13
44.07 deg, rel. 12
77.70 deg, rel. 9
80.39 deg, rel. 8

Record 3
Computed XRD peak list
Compound: LaCo2SnN
Radiation: Cu Ka
Structure: a cell relaxed with PBE

Cell and atoms:
```
LaCo2SnN
1.0
2.020 -5.888 0.000
2.020 5.888 0.000
0.000 0.000 6.972
La Co Sn N
2 4 2 2
direct
0.051 0.949 0.750
0.949 0.051 0.250
0.356 0.644 0.559
0.356 0.644 0.941
0.644 0.356 0.059
0.644 0.356 0.441
0.227 0.773 0.250
0.773 0.227 0.750
0.500 0.500 0.000
0.500 0.500 0.500
```

Most intense lines, 10 to 90 degrees two-theta, most intense first:
34.35 deg, rel. 100
34.83 deg, rel. 78
33.03 deg, rel. 45
44.86 deg, rel. 31
40.09 deg, rel. 25
45.69 deg, rel. 21
25.55 deg, rel. 20
76.19 deg, rel. 20
56.82 deg, rel. 19
50.95 deg, rel. 18
59.52 deg, rel. 18
31.78 deg, rel. 17